# 1
CdAg2Au: calculated X-ray powder pattern (Cu Kα, 1.54184 Å), based on a crystal structure in Alexandria, relaxed with PBE.

Most intense lines, 2θ = 10–90°, sorted by position:
two_theta  intensity  hkl
18.71  4  0 0 6
36.58  100  1 0 4
37.95  30  0 0 12
42.90  63  0 1 8
61.34  21  1 1 0
63.22  19  1 0 16
73.58  12  0 2 4
74.44  24  1 1 12
76.16  11  0 1 20
77.75  11  2 0 8

Structural model:
a b c (Å): 3.0229 3.0229 28.4509
angles (deg): 90.00 90.00 120.00
Space group R-3m (No. 166, hexagonal axes)
One atom of each set of equivalent atoms:
Cd 0.0000 0.0000 0.0000 (multiplicity 3)
Ag 0.0000 0.0000 0.2484 (multiplicity 6)
Au 0.0000 0.0000 0.5000 (multiplicity 3)



# 2
Na2Ti2O5: calculated X-ray powder pattern (Cu Kα, 1.54184 Å), based on a crystal structure in Alexandria, relaxed with PBE.

Most intense lines, 2θ = 10–90°, sorted by position:
two_theta  intensity  hkl
15.00  65  0 2 0
19.85  49  2 0 0
20.35  100  1 1 1
24.21  42  1 2 1
24.97  25  2 2 0
27.84  35  0 3 1
29.83  38  2 2 1
30.24  45  2 3 0
30.93  46  3 1 0
32.46  88  0 0 2

Structural model:
a b c (Å): 8.946 11.815 5.516
angles (deg): 90.00 90.00 90.00
Space group Pna2_1 (No. 33)
One atom of each set of equivalent atoms:
Na 0.075 0.232 0.000 (multiplicity 4)
Na 0.189 0.694 0.920 (multiplicity 4)
Ti 0.047 0.930 0.024 (multiplicity 4)
Ti 0.107 0.517 0.403 (multiplicity 4)
O 0.014 0.942 0.358 (multiplicity 4)
O 0.045 0.191 0.419 (multiplicity 4)
O 0.067 0.522 0.070 (multiplicity 4)
O 0.164 0.652 0.493 (multiplicity 4)
O 0.249 0.907 0.964 (multiplicity 4)



# 3
Sm4Er10Sc: calculated X-ray powder pattern (Cu Kα, 1.54184 Å), based on a crystal structure in Alexandria, relaxed with PBE.

Most intense lines, 2θ = 10–90°, sorted by position:
two_theta  intensity  hkl
25.06  38  3 1 0
28.17  69  2 0 2
30.97  30  3 2 1
31.86  100  4 0 0
32.45  90  2 2 2
33.85  32  3 3 0
34.41  35  3 1 2
41.43  46  3 3 2
54.36  26  5 0 3
68.11  48  7 3 2

Structural model:
a b c (Å): 11.236 11.236 7.669
angles (deg): 90.00 90.00 90.00
Space group I4/mmm (No. 139)
One atom of each set of equivalent atoms:
Sm 0.231 0.231 0.000 (multiplicity 8)
Er 0.000 0.208 0.287 (multiplicity 16)
Er 0.000 0.500 0.250 (multiplicity 4)
Sc 0.000 0.000 0.000 (multiplicity 2)



# 4
Ac2Y2In3: calculated X-ray powder pattern (Cu Kα, 1.54184 Å), based on a crystal structure in Alexandria, relaxed with PBE.

Most intense lines, 2θ = 10–90°, sorted by position:
two_theta  intensity  hkl
19.10  14  1 1 0
25.36  21  1 5 0
30.42  91  1 7 0
31.45  100  1 1 1
32.20  58  0 6 1
37.06  18  0 8 1
38.12  30  2 0 0
50.74  46  0 0 2
55.67  20  1 13 1
60.33  26  1 7 2

Structural model:
a b c (Å): 4.722 26.277 3.597
angles (deg): 90.00 90.00 90.00
Space group Cmmm (No. 65)
One atom of each set of equivalent atoms:
Ac 0.000 0.076 0.000 (multiplicity 4)
Y 0.000 0.206 0.000 (multiplicity 4)
In 0.000 0.339 0.500 (multiplicity 4)
In 0.000 0.500 0.500 (multiplicity 2)



# 5
PmTm5Au6: calculated X-ray powder pattern (Cu Kα, 1.54184 Å), based on a crystal structure in Alexandria, relaxed with PBE.

Most intense lines, 2θ = 10–90°, sorted by position:
two_theta  intensity  hkl
35.21  26  0 0 6
35.39  26  2 0 0
35.58  100  1 2 3
50.78  18  2 0 6
63.42  19  1 2 9
63.65  19  3 2 3
64.02  9  0 4 6
64.13  9  2 4 0
75.32  11  2 4 6
85.53  13  4 0 6

Structural model:
a b c (Å): 5.073 7.084 15.294
angles (deg): 90.00 90.00 90.00
Space group Immm (No. 71)
One atom of each set of equivalent atoms:
Pm 0.000 0.000 0.000 (multiplicity 2)
Tm 0.000 0.000 0.332 (multiplicity 4)
Tm 0.000 0.500 0.000 (multiplicity 2)
Tm 0.000 0.500 0.335 (multiplicity 4)
Au 0.000 0.235 0.500 (multiplicity 4)
Au 0.000 0.257 0.172 (multiplicity 8)



# 6
La2Ga4Os: calculated X-ray powder pattern (Cu Kα, 1.54184 Å), based on a crystal structure in Alexandria, relaxed with PBE.

Most intense lines, 2θ = 10–90°, sorted by position:
two_theta  intensity  hkl
11.37  64  0 0 2
25.50  84  1 0 3
26.68  95  1 1 0
34.55  88  0 0 6
35.42  37  1 1 4
38.09  100  2 0 0
46.40  34  2 1 3
52.37  84  2 0 6
54.97  34  2 2 0
66.58  35  2 2 6

Structural model:
a b c (Å): 4.725 4.725 15.560
angles (deg): 90.00 90.00 90.00
Space group I4/mmm (No. 139)
One atom of each set of equivalent atoms:
La 0.000 0.000 0.144 (multiplicity 4)
Ga 0.000 0.000 0.338 (multiplicity 4)
Ga 0.000 0.500 0.000 (multiplicity 4)
Os 0.000 0.000 0.500 (multiplicity 2)



# 7
Bi5Pt2: calculated X-ray powder pattern (Cu Kα, 1.54184 Å), based on a crystal structure in Alexandria, relaxed with PBE.

Most intense lines, 2θ = 10–90°, sorted by position:
two_theta  intensity  hkl
26.42  18  0 0 2
29.70  57  5 1 0
30.47  100  2 2 -1
32.15  15  4 0 -2
40.79  29  7 1 -1
41.63  23  4 2 -2
42.00  24  1 1 -3
44.50  20  6 0 2
45.22  35  3 3 1
55.34  15  9 1 -2

Structural model:
a b c (Å): 16.813 6.912 6.792
angles (deg): 90.00 96.56 90.00
Space group C2/c (No. 15)
One atom of each set of equivalent atoms:
Bi 0.000 0.049 0.250 (multiplicity 4)
Bi 0.088 0.405 0.919 (multiplicity 8)
Bi 0.195 0.127 0.681 (multiplicity 8)
Pt 0.147 0.246 0.289 (multiplicity 8)